VPO5: computed powder diffraction line list (Cu Kα), based on a DFT-relaxed cell (PBE+U, Alexandria).
Peak positions follow from Bragg's law for the DFT cell and can differ from measured ones.

a = 8.778 Å, b = 6.937 Å, c = 10.056 Å
α = 58.84°, β = 42.55°, γ = 78.61°
Positions (direct):
1 V 0.272 0.728 0.492
2 V 0.728 0.272 0.508
3 V 0.742 0.758 0.522
4 V 0.758 0.742 0.978
5 P 0.145 0.578 0.923
6 P 0.327 0.897 0.105
7 P 0.578 0.145 0.353
8 P 0.897 0.327 0.672
9 O 0.070 0.791 0.253
10 O 0.112 0.462 0.570
11 O 0.180 0.513 0.777
12 O 0.296 0.953 0.254
13 O 0.364 0.997 0.459
14 O 0.394 0.680 0.788
15 O 0.462 0.112 0.856
16 O 0.473 0.720 0.070
17 O 0.513 0.180 0.530
18 O 0.530 0.691 0.311
19 O 0.680 0.394 0.138
20 O 0.691 0.530 0.468
21 O 0.720 0.473 0.737
22 O 0.753 0.996 0.297
23 O 0.782 0.939 0.559
24 O 0.791 0.070 0.886
25 O 0.939 0.782 0.720
26 O 0.953 0.296 0.497
27 O 0.996 0.753 0.954
28 O 0.997 0.364 0.180

Peak list (10 most intense, 2θ from 10° to 90°, by angle)
2θ/deg, d_spacing, I_rel
15.74, 5.629, 100
18.42, 4.818, 70
26.28, 3.391, 29
28.01, 3.185, 24
30.68, 2.914, 65
31.48, 2.842, 46
31.80, 2.814, 37
42.56, 2.124, 18
43.25, 2.092, 22
57.91, 1.592, 22